YRe2PbO8: computed powder XRD pattern (Cu Kα X-rays), based on the GGA-PBE geometry in Alexandria.
Intensities are scaled so that the largest is 100.

Structural model:
Cell lengths 6.031, 6.031, 7.139 Å; angles 90.00, 90.00, 120.00 degrees
Sites, in units of the cell vectors:
Y: 0.000 0.000 0.000
Re: 0.333 0.667 0.279
Re: 0.667 0.333 0.721
Pb: 0.000 0.000 0.500
O: 0.165 0.329 0.206
O: 0.165 0.835 0.206
O: 0.329 0.165 0.794
O: 0.333 0.667 0.528
O: 0.667 0.333 0.472
O: 0.671 0.835 0.206
O: 0.835 0.165 0.794
O: 0.835 0.671 0.794

Most intense lines, 2θ = 5–70°, by angle:
12.4°, I 15.2, hkl 0 0 1
21.1°, I 100.0, hkl 1 0 1
29.6°, I 82.0, hkl 1 1 0
30.3°, I 69.1, hkl 1 0 2
41.7°, I 20.4, hkl 0 1 3
42.9°, I 36.3, hkl 0 2 2
47.8°, I 23.6, hkl 2 1 1
52.6°, I 16.8, hkl 3 0 0
53.0°, I 30.7, hkl 2 1 2
60.3°, I 17.0, hkl 1 1 4